KCo8: simulated powder diffractogram (a wavelength of 1.5418 Å), based on a crystal structure in OQMD, relaxed with GGA-PBE.
Intensities are scaled so that the largest is 100.

Crystal structure
a = 7.1787 Å, b = 7.8624 Å, c = 16.3569 Å
α = 90.00°, β = 90.00°, γ = 90.00°
Space group Fddd (No. 70, origin choice 2)
Unique sites:
K (0.1250, 0.1250, 0.1250) [8 per cell]
Co (0.0117, 0.0159, 0.4212) [32 per cell]
Co (0.0328, 0.0049, 0.2730) [32 per cell]

Principal peaks in the range 2θ from 10° to 80°, low angle first:
hkl 1 1 1, 17.59°, rel. 34; hkl 2 2 2, 35.60°, rel. 12; hkl 1 3 1, 36.92°, rel. 32; hkl 3 1 1, 39.76°, rel. 58; hkl 1 3 3, 40.20°, rel. 16; hkl 1 1 7, 42.27°, rel. 73; hkl 0 4 0, 46.18°, rel. 37; hkl 2 2 6, 47.86°, rel. 100; hkl 4 0 0, 50.88°, rel. 19; hkl 3 3 1, 52.05°, rel. 22; hkl 1 3 7, 54.11°, rel. 15; hkl 4 4 0, 71.14°, rel. 17